Simulated X-ray diffraction stick pattern
Compound: Be5Hg
Radiation: λ = 1.5418 Å (Cu Kα)
Structure: a cell relaxed with GGA-PBE

Atomic structure:
Cell: 2.693 2.693 9.041 Å, 90.00 90.00 90.00°
Space group P4/mmm (No. 123)
One atom of each set of equivalent atoms:
Be (0.000, 0.000, 0.000) [1 per cell]
Be (0.000, 0.000, 0.263) [2 per cell]
Be (0.500, 0.500, 0.129) [2 per cell]
Hg (0.500, 0.500, 0.500) [1 per cell]

Main lines, sorted by position (15 to 90 degrees two-theta):
- 19.6°, intensity 95, hkl 0 0 2
- 29.6°, intensity 39, hkl 0 0 3
- 33.3°, intensity 54, hkl 1 0 0
- 34.8°, intensity 100, hkl 1 0 1
- 38.9°, intensity 80, hkl 1 0 2
- 45.2°, intensity 59, hkl 1 0 3
- 47.8°, intensity 28, hkl 1 1 0
- 48.9°, intensity 35, hkl 1 1 1
- 52.1°, intensity 31, hkl 1 1 2
- 83.0°, intensity 29, hkl 2 1 2

***

Simulated X-ray diffraction stick pattern
Compound: K2Be2HgI6
Radiation: λ = 1.5418 Å (Cu Kα)
Structure: a cell relaxed with GGA-PBE

Atomic structure:
Cell: 8.406 9.455 9.688 Å, 66.51 89.69 63.92°
Space group P-1 (No. 2)
One atom of each set of equivalent atoms:
K (0.158, 0.188, 0.301) [2 per cell]
Be (0.136, 0.227, 0.710) [2 per cell]
Hg (0.500, 0.500, 0.000) [1 per cell]
I (0.081, 0.336, 0.891) [2 per cell]
I (0.083, 0.810, 0.391) [2 per cell]
I (0.394, 0.189, 0.610) [2 per cell]

Main lines, sorted by position (15 to 90 degrees two-theta):
- 18.5°, intensity 100, hkl 0 1 -1
- 19.1°, intensity 18, hkl -1 1 1
- 22.8°, intensity 20, hkl 1 2 2
- 23.4°, intensity 37, hkl 2 1 1
- 23.6°, intensity 37, hkl 2 1 -1
- 24.1°, intensity 32, hkl 2 0 0
- 29.8°, intensity 21, hkl -2 1 1
- 30.0°, intensity 21, hkl 2 3 1
- 35.0°, intensity 27, hkl 2 0 2
- 35.3°, intensity 28, hkl 2 2 -2

***

Simulated X-ray diffraction stick pattern
Compound: LiBe2HgTe
Radiation: λ = 1.5418 Å (Cu Kα)
Structure: a cell relaxed with GGA-PBE

Atomic structure:
Cell: 4.464 4.464 6.186 Å, 90.00 90.00 90.00°
Space group P4/mmm (No. 123)
One atom of each set of equivalent atoms:
Li (0.000, 0.000, 0.000) [1 per cell]
Be (0.000, 0.500, 0.500) [2 per cell]
Hg (0.500, 0.500, 0.500) [1 per cell]
Te (0.500, 0.500, 0.000) [1 per cell]

Main lines, sorted by position (15 to 90 degrees two-theta):
- 19.9°, intensity 100, hkl 1 0 0
- 28.3°, intensity 42, hkl 1 1 0
- 28.9°, intensity 23, hkl 0 0 2
- 35.3°, intensity 48, hkl 1 0 2
- 40.4°, intensity 19, hkl 2 0 0
- 40.8°, intensity 32, hkl 1 1 2
- 45.4°, intensity 24, hkl 2 1 0
- 50.4°, intensity 20, hkl 2 0 2
- 54.7°, intensity 28, hkl 2 1 2
- 73.8°, intensity 11, hkl 3 1 2

***

Simulated X-ray diffraction stick pattern
Compound: MgBe2Hg
Radiation: λ = 1.5418 Å (Cu Kα)
Structure: a cell relaxed with GGA-PBE

Atomic structure:
Cell: 6.905 3.994 5.077 Å, 90.00 116.70 90.00°
Space group Cm (No. 8)
One atom of each set of equivalent atoms:
Mg (0.000, 0.000, 0.000) [2 per cell]
Be (0.052, 0.500, 0.657) [2 per cell]
Be (0.206, 0.000, 0.620) [2 per cell]
Hg (0.293, 0.500, 0.381) [2 per cell]

Main lines, sorted by position (15 to 90 degrees two-theta):
- 19.6°, intensity 54, hkl 0 0 1
- 26.6°, intensity 100, hkl 1 1 0
- 29.0°, intensity 60, hkl 2 0 0
- 37.0°, intensity 32, hkl 1 1 1
- 37.2°, intensity 16, hkl 2 0 -2
- 42.2°, intensity 13, hkl 2 0 1
- 42.3°, intensity 26, hkl 1 1 -2
- 45.5°, intensity 33, hkl 0 2 0
- 49.9°, intensity 20, hkl 3 1 0
- 53.5°, intensity 15, hkl 2 2 -1

***

Simulated X-ray diffraction stick pattern
Compound: TmMgBeHg
Radiation: λ = 1.5418 Å (Cu Kα)
Structure: a cell relaxed with GGA-PBE

Atomic structure:
Cell: 6.824 6.824 6.824 Å, 90.00 90.00 90.00°
Space group F-43m (No. 216)
One atom of each set of equivalent atoms:
Tm (0.000, 0.000, 0.000) [4 per cell]
Mg (0.000, 0.000, 0.500) [4 per cell]
Be (0.250, 0.250, 0.750) [4 per cell]
Hg (0.250, 0.250, 0.250) [4 per cell]

Main lines, sorted by position (15 to 90 degrees two-theta):
- 22.6°, intensity 85, hkl 1 1 1
- 37.3°, intensity 100, hkl 2 2 0
- 44.0°, intensity 46, hkl 3 1 1
- 53.7°, intensity 18, hkl 4 0 0
- 59.0°, intensity 20, hkl 3 3 1
- 67.2°, intensity 36, hkl 4 2 2
- 71.9°, intensity 15, hkl 5 1 1
- 79.4°, intensity 11, hkl 4 4 0
- 83.9°, intensity 15, hkl 5 3 1

***

Simulated X-ray diffraction stick pattern
Compound: Mn2Be2Hg
Radiation: λ = 1.5418 Å (Cu Kα)
Structure: a cell relaxed with GGA-PBE

Atomic structure:
Cell: 6.277 6.277 3.201 Å, 90.00 90.00 90.00°
Space group P4/mbm (No. 127)
One atom of each set of equivalent atoms:
Mn (0.160, 0.340, 0.000) [4 per cell]
Be (0.122, 0.622, 0.500) [4 per cell]
Hg (0.000, 0.000, 0.500) [2 per cell]

Main lines, sorted by position (15 to 90 degrees two-theta):
- 20.0°, intensity 92, hkl 1 1 0
- 28.4°, intensity 37, hkl 2 0 0
- 34.5°, intensity 100, hkl 1 1 1
- 40.2°, intensity 79, hkl 2 0 1
- 40.7°, intensity 30, hkl 2 2 0
- 45.7°, intensity 63, hkl 3 1 0
- 50.0°, intensity 23, hkl 2 2 1
- 54.4°, intensity 24, hkl 3 1 1
- 70.1°, intensity 22, hkl 3 3 1
- 76.4°, intensity 27, hkl 3 1 2

***

Simulated X-ray diffraction stick pattern
Compound: Sc2BeHgN
Radiation: λ = 1.5418 Å (Cu Kα)
Structure: a cell relaxed with GGA-PBE

Atomic structure:
Cell: 4.653 4.653 3.488 Å, 90.00 90.00 90.00°
Space group P4/mmm (No. 123)
One atom of each set of equivalent atoms:
Sc (0.000, 0.500, 0.000) [2 per cell]
Be (0.000, 0.000, 0.500) [1 per cell]
Hg (0.500, 0.500, 0.500) [1 per cell]
N (0.000, 0.000, 0.000) [1 per cell]

Main lines, sorted by position (15 to 90 degrees two-theta):
- 19.1°, intensity 100, hkl 1 0 0
- 27.1°, intensity 24, hkl 1 1 0
- 32.1°, intensity 80, hkl 1 0 1
- 37.6°, intensity 96, hkl 1 1 1
- 38.7°, intensity 53, hkl 2 0 0
- 43.5°, intensity 27, hkl 2 1 0
- 51.1°, intensity 43, hkl 2 1 1
- 55.9°, intensity 18, hkl 2 2 0
- 67.1°, intensity 20, hkl 2 0 2
- 69.3°, intensity 32, hkl 3 1 1

***

Simulated X-ray diffraction stick pattern
Compound: NpBeHgO6
Radiation: λ = 1.5418 Å (Cu Kα)
Structure: a cell relaxed with GGA-PBE

Atomic structure:
Cell: 5.1046 5.1046 4.9716 Å, 90.00 90.00 120.00°
Space group P312 (No. 149)
One atom of each set of equivalent atoms:
Np (0.0000, 0.0000, 0.0000) [1 per cell]
Be (0.3333, 0.6667, 0.0000) [1 per cell]
Hg (0.6667, 0.3333, 0.5000) [1 per cell]
O (0.0396, 0.3527, 0.2104) [6 per cell]

Main lines, sorted by position (15 to 90 degrees two-theta):
- 20.1°, intensity 28, hkl 1 0 0
- 27.0°, intensity 100, hkl 1 0 1
- 35.2°, intensity 28, hkl 1 1 0
- 41.7°, intensity 11, hkl 1 0 2
- 44.9°, intensity 26, hkl 2 0 1
- 51.3°, intensity 28, hkl 2 -1 2
- 58.3°, intensity 25, hkl 3 -1 1
- 59.6°, intensity 11, hkl 1 0 3
- 80.7°, intensity 10, hkl 3 1 1
- 81.9°, intensity 10, hkl 2 1 3